# 1
Ba3AsP: theoretical powder diffractogram (Cu Kα (weighted mean of Kα1 and Kα2)), based on a cell relaxed with PBE.
Kinematic intensities with the Lorentz-polarization factor, no thermal factor.

Cell and atoms:
Lattice parameters (Å, degrees): 6.071 6.071 6.071 90.00 90.00 90.00
Fractional coordinates of all 5 atoms:
Ba1 0.000 0.000 0.500
Ba2 0.000 0.500 0.000
Ba3 0.500 0.000 0.000
As1 0.500 0.500 0.500
P1 0.000 0.000 0.000

Largest 8 diffraction maxima, in order of rising 2θ, 15° ≤ 2θ ≤ 90°:
25.41 deg, intensity 100, (1 1 1)
29.43 deg, intensity 68, (2 0 0)
42.10 deg, intensity 50, (2 2 0)
49.82 deg, intensity 48, (3 1 1)
52.19 deg, intensity 18, (2 2 2)
67.22 deg, intensity 19, (3 3 1)
69.21 deg, intensity 23, (4 2 0)
76.94 deg, intensity 17, (4 2 2)

# 2
Ba3AsP: theoretical powder diffractogram (Cu Kα (weighted mean of Kα1 and Kα2)), based on a cell relaxed with PBE.
Kinematic intensities with the Lorentz-polarization factor, no thermal factor.

Cell and atoms:
Lattice parameters (Å, degrees): 6.167 6.167 6.167 90.00 90.00 90.00
Fractional coordinates of all 5 atoms:
Ba1 0.000 0.000 0.500
Ba2 0.000 0.500 0.000
Ba3 0.500 0.000 0.000
As1 0.000 0.000 0.000
P1 0.500 0.500 0.500

Largest 8 diffraction maxima, in order of rising 2θ, 15° ≤ 2θ ≤ 90°:
25.01 deg, intensity 93, (1 1 1)
28.96 deg, intensity 100, (2 0 0)
32.46 deg, intensity 37, (2 1 0)
41.41 deg, intensity 75, (2 2 0)
48.99 deg, intensity 43, (3 1 1)
51.32 deg, intensity 26, (2 2 2)
67.98 deg, intensity 34, (4 2 0)
75.53 deg, intensity 26, (4 2 2)